This entry pairs a crystal structure of Er3Si13Ir4 with its simulated powder diffractogram. Radiation: Cu Ka. Structure: a DFT-relaxed cell (GGA-PBE, the Materials Project).

Largest 10 diffraction maxima, by intensity, 15 to 90 degrees two-theta:
(hkl), 2theta, I/Imax
2 2 2, 35.56, 100
2 0 0, 20.31, 69
4 0 0, 41.29, 64
2 1 0, 22.74, 53
3 2 0, 37.06, 50
2 2 0, 28.88, 50
6 2 2, 71.57, 45
4 2 2, 51.17, 40
4 2 0, 46.44, 38
4 4 0, 59.82, 34

Structural model:
```
40
Lattice="8.745 0.000 0.000 0.000 8.745 0.000 0.000 0.000 8.745" Properties=species:S:1:pos:R:3 pbc="T T T"
Er 0.000 2.186 4.373
Er 0.000 6.559 4.373
Er 2.186 4.373 0.000
Er 4.373 0.000 2.186
Er 4.373 0.000 6.559
Er 6.559 4.373 0.000
Si 0.000 0.000 0.000
Si 0.000 2.576 1.206
Si 0.000 2.576 7.539
Si 0.000 6.169 1.206
Si 0.000 6.169 7.539
Si 1.206 0.000 2.576
Si 1.206 0.000 6.169
Si 1.797 4.373 3.167
Si 1.797 4.373 5.578
Si 2.576 1.206 0.000
Si 2.576 7.539 0.000
Si 3.167 1.797 4.373
Si 3.167 6.949 4.373
Si 4.373 3.167 1.797
Si 4.373 3.167 6.949
Si 4.373 4.373 4.373
Si 4.373 5.578 1.797
Si 4.373 5.578 6.949
Si 5.578 1.797 4.373
Si 5.578 6.949 4.373
Si 6.169 1.206 0.000
Si 6.169 7.539 0.000
Si 6.949 4.373 3.167
Si 6.949 4.373 5.578
Si 7.539 0.000 2.576
Si 7.539 0.000 6.169
Ir 2.186 2.186 2.186
Ir 2.186 2.186 6.559
Ir 2.186 6.559 2.186
Ir 2.186 6.559 6.559
Ir 6.559 2.186 2.186
Ir 6.559 2.186 6.559
Ir 6.559 6.559 2.186
Ir 6.559 6.559 6.559
```

***

This entry pairs a crystal structure of TiCr2 with its simulated powder diffractogram. Radiation: Cu Ka. Structure: a DFT-relaxed cell (GGA-PBE, the Materials Project).

Largest 10 diffraction maxima, by intensity, 15 to 90 degrees two-theta:
(hkl), 2theta, I/Imax
1 1 4, 43.71, 100
2 0 2, 44.48, 67
1 0 6, 40.46, 47
1 1 0, 36.92, 25
2 0 3, 46.41, 24
2 2 0, 78.59, 23
0 0 8, 46.07, 22
3 0 4, 71.23, 20
2 0 10, 75.28, 19
1 0 7, 45.68, 18

Structural model:
```
24
Lattice="4.869 0.000 0.000 -2.435 4.217 0.000 0.000 0.000 15.760" Properties=species:S:1:pos:R:3 pbc="T T T"
Ti 0.000 0.000 1.488
Ti 0.000 0.000 6.392
Ti 0.000 0.000 9.368
Ti 0.000 0.000 14.272
Ti 0.000 2.811 2.461
Ti 0.000 2.811 5.419
Ti 2.435 1.406 10.341
Ti 2.435 1.406 13.299
Cr -1.217 2.108 0.000
Cr -1.217 2.108 7.880
Cr 0.000 1.377 11.820
Cr -1.242 3.528 11.820
Cr 1.192 0.688 3.940
Cr 0.000 2.811 9.833
Cr 0.000 2.811 13.807
Cr 2.435 0.000 0.000
Cr 2.435 0.000 7.880
Cr 1.217 2.108 0.000
Cr 1.217 2.108 7.880
Cr 2.435 1.406 1.953
Cr 2.435 1.406 5.927
Cr 1.242 3.528 11.820
Cr 3.677 0.688 3.940
Cr 2.435 2.840 3.940
```